# 1
This entry pairs a crystal structure of Mg2Cr9O13 with its simulated X-ray diffraction stick pattern. Radiation: Cu Kα, 1.54184 Å. Structure: a structure optimized by DFT (GGA+U).

Principal peaks in the range 10° ≤ 2θ ≤ 80°, in order of falling intensity:
2θ (°)	I/Imax
10.5	100
34.4	95
34.0	94
42.1	85
42.8	58
40.8	49
35.2	48
41.2	47
59.4	47
44.1	44

Crystal structure
Cell: 5.3142 5.3142 16.9868 Å, 97.66 97.66 32.71°
Fractional positions:
Mg: 0.2189 0.2189 0.2307
Mg: 0.7811 0.7811 0.7693
Cr: 0.0033 0.0033 0.6711
Cr: 0.0679 0.0679 0.8768
Cr: 0.2490 0.2490 0.5844
Cr: 0.3560 0.3560 0.9574
Cr: 0.5000 0.5000 0.5000
Cr: 0.6440 0.6440 0.0426
Cr: 0.7510 0.7510 0.4156
Cr: 0.9321 0.9321 0.1232
Cr: 0.9967 0.9967 0.3289
O: 0.0000 0.0000 0.0000
O: 0.1231 0.1231 0.4742
O: 0.1471 0.1471 0.7789
O: 0.3025 0.3025 0.0727
O: 0.3673 0.3673 0.6908
O: 0.3981 0.3981 0.3857
O: 0.4304 0.4304 0.8535
O: 0.5696 0.5696 0.1465
O: 0.6019 0.6019 0.6143
O: 0.6327 0.6327 0.3092
O: 0.6975 0.6975 0.9273
O: 0.8529 0.8529 0.2211
O: 0.8769 0.8769 0.5258


# 2
This entry pairs a crystal structure of Li9Mn2Co5O16 with its simulated X-ray diffraction stick pattern. Radiation: Cu Kα, 1.54184 Å. Structure: a structure optimized by DFT (GGA+U).

Principal peaks in the range 10° ≤ 2θ ≤ 80°, in order of falling intensity:
2θ (°)	I/Imax
18.3	100
41.3	34
43.3	29
45.0	25
34.3	19
35.7	14
36.8	11
63.7	9
37.0	9
61.1	9

Crystal structure
Cell: 3.0360 9.7885 10.0097 Å, 87.53 88.14 82.89°
Fractional positions:
Li: 0.0000 0.0000 0.0000
Li: 0.1163 0.7552 0.1903
Li: 0.1278 0.7527 0.6869
Li: 0.3771 0.2490 0.5642
Li: 0.3814 0.2415 0.0630
Li: 0.6186 0.7585 0.9370
Li: 0.6229 0.7510 0.4358
Li: 0.8722 0.2473 0.3131
Li: 0.8837 0.2448 0.8097
Mn: 0.2428 0.5003 0.8734
Mn: 0.7572 0.4997 0.1266
Co: 0.0000 0.0000 0.5000
Co: 0.2531 0.5006 0.3769
Co: 0.4987 0.0013 0.2412
Co: 0.5013 0.9987 0.7588
Co: 0.7469 0.4994 0.6231
O: 0.0828 0.8858 0.8357
O: 0.0895 0.8872 0.3483
O: 0.1583 0.6182 0.0282
O: 0.1980 0.6165 0.5275
O: 0.2920 0.3855 0.7181
O: 0.3447 0.3844 0.2242
O: 0.4404 0.1146 0.8874
O: 0.4498 0.1099 0.3993
O: 0.5502 0.8901 0.6007
O: 0.5596 0.8854 0.1126
O: 0.6553 0.6156 0.7758
O: 0.7080 0.6145 0.2819
O: 0.8020 0.3835 0.4725
O: 0.8417 0.3818 0.9718
O: 0.9105 0.1128 0.6517
O: 0.9172 0.1142 0.1643


# 3
This entry pairs a crystal structure of Mn3Co2Te3O16 with its simulated X-ray diffraction stick pattern. Radiation: Cu Kα, 1.54184 Å. Structure: a structure optimized by DFT (GGA+U).

Principal peaks in the range 10° ≤ 2θ ≤ 80°, in order of falling intensity:
2θ (°)	I/Imax
19.3	100
35.4	33
35.3	31
19.1	25
39.2	24
33.9	23
45.2	18
60.1	18
25.7	16
19.4	14

Crystal structure
Cell: 6.1547 6.1547 9.2005 Å, 90.66 90.66 59.15°
Fractional positions:
Mn: 0.0000 0.0000 0.0000
Mn: 0.1676 0.6676 0.5029
Mn: 0.6676 0.1676 0.5029
Co: 0.1570 0.1570 0.6985
Co: 0.4861 0.4861 0.2315
Te: 0.0009 0.4975 0.0008
Te: 0.4975 0.0009 0.0008
Te: 0.6657 0.6657 0.5004
O: 0.1505 0.6617 0.1042
O: 0.1856 0.1856 0.1261
O: 0.3142 0.3142 0.8775
O: 0.3239 0.8753 0.8878
O: 0.3534 0.7919 0.3789
O: 0.3581 0.3581 0.3919
O: 0.5083 0.5083 0.6158
O: 0.5096 0.9868 0.6095
O: 0.6617 0.1505 0.1042
O: 0.6728 0.6728 0.1140
O: 0.7919 0.3534 0.3789
O: 0.8159 0.8159 0.8844
O: 0.8258 0.8258 0.3942
O: 0.8753 0.3239 0.8878
O: 0.9868 0.5096 0.6095
O: 0.9888 0.9888 0.6054


# 4
This entry pairs a crystal structure of TiMn2Ni3P6O24 with its simulated X-ray diffraction stick pattern. Radiation: Cu Kα, 1.54184 Å. Structure: a structure optimized by DFT (GGA+U).

Principal peaks in the range 10° ≤ 2θ ≤ 80°, in order of falling intensity:
2θ (°)	I/Imax
24.2	100
20.5	86
33.1	68
35.9	41
47.4	32
49.6	27
56.2	25
62.7	20
56.6	16
31.8	15

Crystal structure
Cell: 8.5561 8.5561 8.5561 Å, 60.85 60.85 60.85°
Fractional positions:
Ti: 0.0000 0.0000 0.0000
Mn: 0.1460 0.1460 0.1460
Mn: 0.6467 0.6467 0.6467
Ni: 0.2889 0.2889 0.2889
Ni: 0.5043 0.5043 0.5043
Ni: 0.7891 0.7891 0.7891
P: 0.1006 0.6890 0.3965
P: 0.1920 0.5998 0.8951
P: 0.3965 0.1006 0.6890
P: 0.5998 0.8951 0.1920
P: 0.6890 0.3965 0.1006
P: 0.8951 0.1920 0.5998
O: 0.0424 0.6351 0.8240
O: 0.0559 0.2038 0.4047
O: 0.0782 0.8898 0.2354
O: 0.1356 0.7619 0.9670
O: 0.1371 0.5371 0.3281
O: 0.2038 0.4047 0.0559
O: 0.2354 0.0782 0.8898
O: 0.2540 0.6577 0.4593
O: 0.3281 0.1371 0.5372
O: 0.3896 0.5924 0.7425
O: 0.4047 0.0559 0.2038
O: 0.4593 0.2540 0.6577
O: 0.5372 0.3281 0.1371
O: 0.5563 0.9022 0.7032
O: 0.5924 0.7425 0.3896
O: 0.6351 0.8241 0.0424
O: 0.6577 0.4593 0.2540
O: 0.7032 0.5563 0.9022
O: 0.7425 0.3896 0.5924
O: 0.7619 0.9670 0.1356
O: 0.8240 0.0424 0.6351
O: 0.8898 0.2354 0.0782
O: 0.9022 0.7032 0.5563
O: 0.9670 0.1356 0.7619


# 5
This entry pairs a crystal structure of Li2Fe2CuP3O12 with its simulated X-ray diffraction stick pattern. Radiation: Cu Kα, 1.54184 Å. Structure: a structure optimized by DFT (GGA+U).

Principal peaks in the range 10° ≤ 2θ ≤ 80°, in order of falling intensity:
2θ (°)	I/Imax
20.5	100
24.3	64
33.2	61
35.9	34
33.4	32
24.4	31
47.6	23
56.2	20
36.1	17
25.3	15

Crystal structure
Cell: 8.4960 8.4960 8.5099 Å, 118.93 118.93 61.37°
Fractional positions:
Li: 0.0000 0.0000 0.0000
Li: 0.2010 0.3994 0.6003
Li: 0.6006 0.7990 0.3997
Li: 0.7068 0.2932 0.5000
Fe: 0.0008 0.7963 0.6023
Fe: 0.2037 0.9992 0.3977
Fe: 0.4924 0.2934 0.1103
Fe: 0.7066 0.5076 0.8897
Cu: 0.3426 0.1499 0.2373
Cu: 0.8501 0.6574 0.7627
P: 0.1027 0.2010 0.8037
P: 0.3176 0.6824 0.0000
P: 0.4006 0.5994 0.5000
P: 0.6008 0.1157 0.7141
P: 0.7990 0.8973 0.1963
P: 0.8843 0.3992 0.2859
O: 0.0483 0.0383 0.7740
O: 0.0807 0.2388 0.3079
O: 0.1192 0.7063 0.8397
O: 0.1567 0.1699 0.6405
O: 0.2416 0.6252 0.5553
O: 0.2680 0.2204 0.9953
O: 0.2937 0.8808 0.1603
O: 0.3474 0.5233 0.0570
O: 0.3748 0.7584 0.4447
O: 0.4248 0.4034 0.3377
O: 0.4403 0.0896 0.5170
O: 0.4767 0.6526 0.9430
O: 0.5506 0.1540 0.8803
O: 0.5966 0.5752 0.6623
O: 0.6152 0.0748 0.1980
O: 0.6536 0.2741 0.7305
O: 0.7259 0.3464 0.2695
O: 0.7612 0.9193 0.6921
O: 0.7796 0.7320 0.0047
O: 0.8301 0.8433 0.3595
O: 0.8460 0.4494 0.1197
O: 0.9104 0.5597 0.4830
O: 0.9252 0.3848 0.8020
O: 0.9617 0.9517 0.2260


# 6
This entry pairs a crystal structure of Ba4MgCo4O10 with its simulated X-ray diffraction stick pattern. Radiation: Cu Kα, 1.54184 Å. Structure: a structure optimized by DFT (GGA+U).

Principal peaks in the range 10° ≤ 2θ ≤ 80°, in order of falling intensity:
2θ (°)	I/Imax
31.6	100
29.7	92
29.5	82
31.9	81
28.1	67
27.8	66
47.7	58
30.1	51
36.4	51
36.8	41

Crystal structure
Cell: 6.2267 6.2635 9.1714 Å, 104.01 104.99 104.66°
Fractional positions:
Ba: 0.0000 0.0000 0.0000
Ba: 0.1290 0.2924 0.4244
Ba: 0.4995 0.4908 0.9777
Ba: 0.7501 0.6624 0.4169
Mg: 0.4588 0.0141 0.4736
Co: 0.1019 0.5891 0.1638
Co: 0.2889 0.9653 0.7258
Co: 0.5756 0.0716 0.1704
Co: 0.8463 0.2993 0.7279
O: 0.2596 0.7605 0.5331
O: 0.3057 0.9319 0.2453
O: 0.3165 0.4155 0.2003
O: 0.4083 0.9794 0.9285
O: 0.4902 0.2298 0.6895
O: 0.7600 0.2744 0.5120
O: 0.7793 0.8879 0.2052
O: 0.8225 0.3814 0.1973
O: 0.9629 0.5197 0.9217
O: 0.9951 0.0565 0.7155


Please write out number 4 again, unchanged.
This entry pairs a crystal structure of TiMn2Ni3P6O24 with its simulated X-ray diffraction stick pattern. Radiation: Cu Kα, 1.54184 Å. Structure: a structure optimized by DFT (GGA+U).

Principal peaks in the range 10° ≤ 2θ ≤ 80°, in order of falling intensity:
2θ (°)	I/Imax
24.2	100
20.5	86
33.1	68
35.9	41
47.4	32
49.6	27
56.2	25
62.7	20
56.6	16
31.8	15

Crystal structure
Cell: 8.5561 8.5561 8.5561 Å, 60.85 60.85 60.85°
Fractional positions:
Ti: 0.0000 0.0000 0.0000
Mn: 0.1460 0.1460 0.1460
Mn: 0.6467 0.6467 0.6467
Ni: 0.2889 0.2889 0.2889
Ni: 0.5043 0.5043 0.5043
Ni: 0.7891 0.7891 0.7891
P: 0.1006 0.6890 0.3965
P: 0.1920 0.5998 0.8951
P: 0.3965 0.1006 0.6890
P: 0.5998 0.8951 0.1920
P: 0.6890 0.3965 0.1006
P: 0.8951 0.1920 0.5998
O: 0.0424 0.6351 0.8240
O: 0.0559 0.2038 0.4047
O: 0.0782 0.8898 0.2354
O: 0.1356 0.7619 0.9670
O: 0.1371 0.5371 0.3281
O: 0.2038 0.4047 0.0559
O: 0.2354 0.0782 0.8898
O: 0.2540 0.6577 0.4593
O: 0.3281 0.1371 0.5372
O: 0.3896 0.5924 0.7425
O: 0.4047 0.0559 0.2038
O: 0.4593 0.2540 0.6577
O: 0.5372 0.3281 0.1371
O: 0.5563 0.9022 0.7032
O: 0.5924 0.7425 0.3896
O: 0.6351 0.8241 0.0424
O: 0.6577 0.4593 0.2540
O: 0.7032 0.5563 0.9022
O: 0.7425 0.3896 0.5924
O: 0.7619 0.9670 0.1356
O: 0.8240 0.0424 0.6351
O: 0.8898 0.2354 0.0782
O: 0.9022 0.7032 0.5563
O: 0.9670 0.1356 0.7619


What did the fifth record say?
This entry pairs a crystal structure of Li2Fe2CuP3O12 with its simulated X-ray diffraction stick pattern. Radiation: Cu Kα, 1.54184 Å. Structure: a structure optimized by DFT (GGA+U).

Principal peaks in the range 10° ≤ 2θ ≤ 80°, in order of falling intensity:
2θ (°)	I/Imax
20.5	100
24.3	64
33.2	61
35.9	34
33.4	32
24.4	31
47.6	23
56.2	20
36.1	17
25.3	15

Crystal structure
Cell: 8.4960 8.4960 8.5099 Å, 118.93 118.93 61.37°
Fractional positions:
Li: 0.0000 0.0000 0.0000
Li: 0.2010 0.3994 0.6003
Li: 0.6006 0.7990 0.3997
Li: 0.7068 0.2932 0.5000
Fe: 0.0008 0.7963 0.6023
Fe: 0.2037 0.9992 0.3977
Fe: 0.4924 0.2934 0.1103
Fe: 0.7066 0.5076 0.8897
Cu: 0.3426 0.1499 0.2373
Cu: 0.8501 0.6574 0.7627
P: 0.1027 0.2010 0.8037
P: 0.3176 0.6824 0.0000
P: 0.4006 0.5994 0.5000
P: 0.6008 0.1157 0.7141
P: 0.7990 0.8973 0.1963
P: 0.8843 0.3992 0.2859
O: 0.0483 0.0383 0.7740
O: 0.0807 0.2388 0.3079
O: 0.1192 0.7063 0.8397
O: 0.1567 0.1699 0.6405
O: 0.2416 0.6252 0.5553
O: 0.2680 0.2204 0.9953
O: 0.2937 0.8808 0.1603
O: 0.3474 0.5233 0.0570
O: 0.3748 0.7584 0.4447
O: 0.4248 0.4034 0.3377
O: 0.4403 0.0896 0.5170
O: 0.4767 0.6526 0.9430
O: 0.5506 0.1540 0.8803
O: 0.5966 0.5752 0.6623
O: 0.6152 0.0748 0.1980
O: 0.6536 0.2741 0.7305
O: 0.7259 0.3464 0.2695
O: 0.7612 0.9193 0.6921
O: 0.7796 0.7320 0.0047
O: 0.8301 0.8433 0.3595
O: 0.8460 0.4494 0.1197
O: 0.9104 0.5597 0.4830
O: 0.9252 0.3848 0.8020
O: 0.9617 0.9517 0.2260